Record 1
Computed XRD peak list of Ac2CdGaPt6 for Cu Ka, from the GGA-PBE geometry in Alexandria.

Crystal structure
Cell lengths 8.947, 8.947, 8.947 Å; angles 38.07, 38.07, 38.07 degrees
Fractional positions:
Ac 0.209 0.209 0.209
Ac 0.791 0.791 0.791
Cd 0.000 0.000 0.000
Ga 0.500 0.500 0.500
Pt 0.237 0.745 0.745
Pt 0.255 0.255 0.763
Pt 0.255 0.763 0.255
Pt 0.745 0.237 0.745
Pt 0.745 0.745 0.237
Pt 0.763 0.255 0.255

Main lines, in order of rising 2θ (2θ = 10–90°):
d_spacing  intensity
8.288  54
4.144  52
2.476  88
2.386  27
2.341  100
2.253  21
2.231  31
2.059  17
1.961  27
1.459  31

Record 2
Computed XRD peak list of Ac6Cd23Ge for Cu Ka, from the GGA-PBE geometry in Alexandria.

Crystal structure
Cell lengths 10.347, 10.347, 10.347 Å; angles 60.00, 60.00, 60.00 degrees
Fractional positions:
Ac 0.212 0.212 0.788
Ac 0.212 0.788 0.212
Ac 0.212 0.788 0.788
Ac 0.788 0.212 0.212
Ac 0.788 0.212 0.788
Ac 0.788 0.788 0.212
Cd 0.000 0.000 0.500
Cd 0.000 0.500 0.000
Cd 0.000 0.500 0.500
Cd 0.131 0.623 0.623
Cd 0.171 0.171 0.171
Cd 0.171 0.171 0.488
Cd 0.171 0.488 0.171
Cd 0.377 0.377 0.377
Cd 0.377 0.377 0.869
Cd 0.377 0.869 0.377
Cd 0.488 0.171 0.171
Cd 0.500 0.000 0.000
Cd 0.500 0.000 0.500
Cd 0.500 0.500 0.000
Cd 0.500 0.500 0.500
Cd 0.512 0.829 0.829
Cd 0.623 0.131 0.623
Cd 0.623 0.623 0.131
Cd 0.623 0.623 0.623
Cd 0.829 0.512 0.829
Cd 0.829 0.829 0.512
Cd 0.829 0.829 0.829
Cd 0.869 0.377 0.377
Ge 0.000 0.000 0.000

Main lines, in order of rising 2θ (2θ = 10–90°):
d_spacing  intensity
2.987  16
2.816  58
2.587  100
2.439  13
1.724  15
1.690  10
1.493  17
1.471  13
1.415  12
1.094  10

Record 3
Computed XRD peak list of AcCd2Ge for Cu Ka, from the GGA-PBE geometry in Alexandria.

Crystal structure
Cell lengths 4.421, 20.379, 4.751 Å; angles 90.00, 90.00, 90.00 degrees
Fractional positions:
Ac 0.000 0.109 0.250
Ac 0.000 0.891 0.750
Ac 0.500 0.391 0.750
Ac 0.500 0.609 0.250
Cd 0.000 0.250 0.750
Cd 0.000 0.467 0.250
Cd 0.000 0.533 0.750
Cd 0.000 0.750 0.250
Cd 0.500 0.033 0.750
Cd 0.500 0.250 0.250
Cd 0.500 0.750 0.750
Cd 0.500 0.967 0.250
Ge 0.000 0.335 0.250
Ge 0.000 0.665 0.750
Ge 0.500 0.165 0.750
Ge 0.500 0.835 0.250

Main lines, in order of rising 2θ (2θ = 10–90°):
d_spacing  intensity
2.997  35
2.922  100
2.763  25
2.375  27
2.245  19
2.211  22
1.861  18
1.618  16
1.608  14
1.456  17

Record 4
Computed XRD peak list of Ac5CdGe2 for Cu Ka, from the GGA-PBE geometry in Alexandria.

Crystal structure
Cell lengths 4.526, 7.935, 16.491 Å; angles 90.00, 90.00, 90.00 degrees
Fractional positions:
Ac 0.000 0.000 0.000
Ac 0.000 0.231 0.356
Ac 0.000 0.231 0.644
Ac 0.000 0.769 0.356
Ac 0.000 0.769 0.644
Ac 0.500 0.269 0.144
Ac 0.500 0.269 0.856
Ac 0.500 0.500 0.500
Ac 0.500 0.731 0.144
Ac 0.500 0.731 0.856
Cd 0.000 0.500 0.000
Cd 0.500 0.000 0.500
Ge 0.000 0.000 0.195
Ge 0.000 0.000 0.805
Ge 0.500 0.500 0.305
Ge 0.500 0.500 0.695

Main lines, in order of rising 2θ (2θ = 10–90°):
d_spacing  intensity
3.494  95
2.936  100
2.859  70
2.749  25
2.622  29
2.263  28
1.849  38
1.774  36
1.725  22
1.523  21

Record 5
Computed XRD peak list of Ac4CdGe2 for Cu Ka, from the GGA-PBE geometry in Alexandria.

Crystal structure
Cell lengths 8.524, 8.524, 8.545 Å; angles 109.58, 109.58, 109.14 degrees
Fractional positions:
Ac 0.001 0.999 0.500
Ac 0.121 0.475 0.856
Ac 0.353 0.854 0.708
Ac 0.472 0.618 0.350
Ac 0.475 0.121 0.356
Ac 0.618 0.472 0.850
Ac 0.854 0.353 0.208
Ac 0.999 0.001 0.000
Cd 0.612 0.861 0.104
Cd 0.861 0.612 0.604
Ge 0.108 0.737 0.225
Ge 0.237 0.365 0.482
Ge 0.365 0.237 0.982
Ge 0.737 0.108 0.725

Main lines, in order of rising 2θ (2θ = 10–90°):
d_spacing  intensity
4.023  26
3.487  18
3.118  100
3.109  17
2.636  48
2.629  32
2.014  20
1.935  20
1.933  19
1.522  14

Record 6
Computed XRD peak list of AcCd4Ge2 for Cu Ka, from the GGA-PBE geometry in Alexandria.

Crystal structure
Cell lengths 4.458, 4.446, 8.653 Å; angles 90.00, 104.35, 90.00 degrees
Fractional positions:
Ac 0.000 0.000 0.000
Cd 0.184 0.500 0.364
Cd 0.311 0.000 0.628
Cd 0.689 0.000 0.372
Cd 0.816 0.500 0.636
Ge 0.420 0.500 0.846
Ge 0.580 0.500 0.154

Main lines, in order of rising 2θ (2θ = 10–90°):
d_spacing  intensity
3.094  17
3.050  26
2.794  22
2.751  98
2.734  100
2.366  17
2.229  42
2.223  41
1.574  27
1.364  24

Record 7
Computed XRD peak list of Ac4Cd5Ge6 for Cu Ka, from the GGA-PBE geometry in Alexandria.

Crystal structure
Cell lengths 10.584, 10.584, 16.786 Å; angles 90.00, 90.00, 154.67 degrees
Fractional positions:
Ac 0.016 0.984 0.500
Ac 0.034 0.966 0.761
Ac 0.166 0.834 0.299
Ac 0.177 0.823 0.944
Ac 0.823 0.177 0.444
Ac 0.834 0.166 0.799
Ac 0.966 0.034 0.261
Ac 0.984 0.016 0.000
Cd 0.155 0.845 0.623
Cd 0.299 0.701 0.620
Cd 0.342 0.658 0.269
Cd 0.351 0.649 0.977
Cd 0.438 0.562 0.674
Cd 0.562 0.438 0.174
Cd 0.649 0.351 0.477
Cd 0.658 0.342 0.769
Cd 0.701 0.299 0.120
Cd 0.845 0.155 0.123
Ge 0.113 0.887 0.114
Ge 0.222 0.778 0.480
Ge 0.230 0.770 0.764
Ge 0.429 0.571 0.127
Ge 0.434 0.566 0.401
Ge 0.446 0.554 0.852
Ge 0.554 0.446 0.352
Ge 0.566 0.434 0.901
Ge 0.571 0.429 0.627
Ge 0.770 0.230 0.264
Ge 0.778 0.222 0.980
Ge 0.887 0.113 0.614

Main lines, in order of rising 2θ (2θ = 10–90°):
d_spacing  intensity
3.520  39
3.190  17
3.081  57
3.035  36
2.836  29
2.798  23
2.702  100
2.487  26
2.320  49
1.402  16

Record 8
Computed XRD peak list of Ac3CdGe6Pt2 for Cu Ka, from the GGA-PBE geometry in Alexandria.

Crystal structure
Cell lengths 6.335, 6.335, 8.603 Å; angles 90.00, 90.00, 120.00 degrees
Fractional positions:
Ac 0.000 0.000 0.000
Ac 0.333 0.667 0.648
Ac 0.667 0.333 0.352
Cd 0.000 0.000 0.500
Ge 0.198 0.396 0.279
Ge 0.198 0.802 0.279
Ge 0.396 0.198 0.721
Ge 0.604 0.802 0.279
Ge 0.802 0.198 0.721
Ge 0.802 0.604 0.721
Pt 0.333 0.667 0.027
Pt 0.667 0.333 0.973

Main lines, in order of rising 2θ (2θ = 10–90°):
d_spacing  intensity
3.385  47
3.167  100
2.868  27
2.613  36
2.551  44
2.313  39
2.126  39
1.868  18
1.683  18
1.584  24